# 1
Simulated powder XRD pattern
Compound: ZnSiNiO5
Radiation: a wavelength of 1.5418 Å
Structure: a crystal structure in the Materials Project, relaxed with GGA+U

Structure:
a b c (Å): 6.596 8.206 7.046
angles (deg): 90.00 116.68 90.00
Space group C2/c (No. 15)
Asymmetric unit:
Zn1 0.000 0.168 0.250 x4
Si1 0.000 0.181 0.750 x4
Ni1 0.000 0.500 0.000 x4
O1 0.000 0.412 0.250 x4
O2 0.101 0.290 0.619 x8
O3 0.184 0.040 0.904 x8

Principal peaks in the range 5 to 70 degrees two-theta, by intensity:
index, two_theta, I (rel.)
1 1 -2, 27.7, 100.0
2 0 0, 30.3, 69.0
1 3 0, 36.2, 54.0
0 2 2, 36.0, 44.0
3 3 0, 57.8, 25.3
3 1 -2, 43.4, 20.0
1 3 -4, 63.8, 19.4
2 2 2, 56.1, 18.0
2 0 -4, 52.2, 15.4
1 1 -1, 18.8, 14.9

---

# 2
Simulated powder XRD pattern
Compound: LiCo2P5O15
Radiation: a wavelength of 1.5418 Å
Structure: a crystal structure in the Materials Project, relaxed with GGA+U

Structure:
a b c (Å): 5.277 8.464 13.532
angles (deg): 90.00 107.74 90.00
Space group Pc (No. 7)
Asymmetric unit:
Li1 0.000 0.006 0.000 x2
Co1 0.006 0.309 0.430 x2
Co2 0.879 0.315 0.002 x2
P1 0.309 0.178 0.867 x2
P2 0.443 0.492 0.327 x2
P3 0.443 0.493 0.108 x2
P4 0.591 0.177 0.575 x2
P5 0.947 0.058 0.220 x2
O1 0.010 0.134 0.129 x2
O2 0.116 0.190 0.930 x2
O3 0.153 0.488 0.544 x2
O4 0.196 0.061 0.771 x2
O5 0.288 0.381 0.371 x2
O6 0.296 0.341 0.802 x2
O7 0.306 0.137 0.517 x2
O8 0.432 0.426 0.216 x2
O9 0.586 0.339 0.639 x2
O10 0.596 0.142 0.922 x2
O11 0.615 0.386 0.070 x2
O12 0.696 0.063 0.673 x2
O13 0.738 0.489 0.886 x2
O14 0.792 0.189 0.517 x2
O15 0.882 0.150 0.303 x2

Principal peaks in the range 5 to 70 degrees two-theta, by intensity:
index, two_theta, I (rel.)
1 1 -3, 25.1, 100.0
1 1 -2, 21.6, 52.1
0 2 3, 29.6, 42.8
0 0 2, 13.7, 39.0
1 0 2, 25.6, 33.4
1 2 1, 29.7, 28.9
1 0 -4, 28.0, 24.3
1 1 0, 20.6, 23.7
1 3 0, 36.5, 22.4
0 1 0, 10.5, 21.1